[1]
This entry pairs a crystal structure of Y3MgP3O12 with its calculated powder diffraction line list. Radiation: λ = 1.5418 Å (Cu Kα). Structure: a PBE-relaxed structure.
Kinematic intensities with the Lorentz-polarization factor, no thermal factor.

Cell: 7.081 12.149 6.295 Å, 90.00 90.00 90.00°
Space group C222 (No. 21)
Unique sites:
Y  0.000  0.000  0.000 [2 per cell]
Y  0.250  0.250  0.668 [4 per cell]
Mg  0.000  0.500  0.500 [2 per cell]
P  0.000  0.000  0.500 [2 per cell]
P  0.250  0.250  0.164 [4 per cell]
O  0.082  0.272  0.317 [8 per cell]
O  0.122  0.070  0.653 [8 per cell]
O  0.211  0.152  0.012 [8 per cell]

Top 6 peaks for 10° ≤ 2θ ≤ 80°, in order of rising 2θ:
d 6.118, 14.48°, I = 83; d 6.075, 14.58°, I = 40; d 4.385, 20.25°, I = 49; d 3.059, 29.20°, I = 100; d 3.037, 29.41°, I = 50; d 2.797, 32.00°, I = 100

[2]
This entry pairs a crystal structure of ScZn11Cu with its calculated powder diffraction line list. Radiation: λ = 1.5418 Å (Cu Kα). Structure: a PBE-relaxed structure.
Kinematic intensities with the Lorentz-polarization factor, no thermal factor.

Cell: 5.146 12.392 6.696 Å, 90.00 112.53 90.00°
Space group C2/m (No. 12)
Unique sites:
Sc  0.000  0.000  0.000 [2 per cell]
Zn  0.000  0.000  0.500 [2 per cell]
Zn  0.102  0.394  0.215 [8 per cell]
Zn  0.184  0.173  0.353 [8 per cell]
Zn  0.250  0.250  0.000 [4 per cell]
Cu  0.000  0.500  0.500 [2 per cell]

Top 6 peaks for 10° ≤ 2θ ≤ 80°, in order of rising 2θ:
d 2.539, 35.36°, I = 45; d 2.218, 40.67°, I = 80; d 2.196, 41.10°, I = 100; d 2.189, 41.25°, I = 68; d 1.979, 45.86°, I = 99; d 1.958, 46.38°, I = 54

[3]
This entry pairs a crystal structure of ScTcB4 with its calculated powder diffraction line list. Radiation: λ = 1.5418 Å (Cu Kα). Structure: a PBE-relaxed structure.
Kinematic intensities with the Lorentz-polarization factor, no thermal factor.

Cell: 5.863 11.306 3.497 Å, 90.00 90.00 90.00°
Space group Pbam (No. 55)
Unique sites:
Sc  0.130  0.148  0.000 [4 per cell]
Tc  0.137  0.411  0.000 [4 per cell]
B  0.018  0.696  0.500 [4 per cell]
B  0.116  0.550  0.500 [4 per cell]
B  0.132  0.970  0.500 [4 per cell]
B  0.206  0.814  0.500 [4 per cell]

Top 6 peaks for 10° ≤ 2θ ≤ 80°, in order of rising 2θ:
d 5.205, 17.04°, I = 49; d 3.497, 25.47°, I = 72; d 2.838, 31.53°, I = 42; d 2.314, 38.92°, I = 43; d 2.201, 41.00°, I = 100; d 1.930, 47.09°, I = 64

[4]
This entry pairs a crystal structure of Tb2Nd2DyEr with its calculated powder diffraction line list. Radiation: λ = 1.5418 Å (Cu Kα). Structure: a PBE-relaxed structure.
Kinematic intensities with the Lorentz-polarization factor, no thermal factor.

Cell: 7.027 5.660 9.812 Å, 90.00 90.00 90.00°
Space group Pmma (No. 51)
Unique sites:
Tb  0.250  0.000  0.163 [2 per cell]
Tb  0.250  0.500  0.668 [2 per cell]
Nd  0.000  0.500  0.000 [2 per cell]
Nd  0.250  0.000  0.823 [2 per cell]
Dy  0.250  0.500  0.341 [2 per cell]
Er  0.000  0.000  0.500 [2 per cell]

Top 6 peaks for 10° ≤ 2θ ≤ 80°, in order of rising 2θ:
d 2.856, 31.32°, I = 92; d 2.831, 31.60°, I = 100; d 2.011, 45.09°, I = 33; d 1.639, 56.10°, I = 35; d 1.635, 56.28°, I = 19; d 1.493, 62.19°, I = 29

[5]
This entry pairs a crystal structure of ZrZnCl with its calculated powder diffraction line list. Radiation: λ = 1.5418 Å (Cu Kα). Structure: a PBE-relaxed structure.
Kinematic intensities with the Lorentz-polarization factor, no thermal factor.

Cell: 3.3083 3.3083 7.1713 Å, 90.00 90.00 120.00°
Space group P3m1 (No. 156)
Unique sites:
Zr  0.0000  0.0000  0.0000 [1 per cell]
Zn  0.3333  0.6667  0.7056 [1 per cell]
Cl  0.6667  0.3333  0.2513 [1 per cell]

Top 6 peaks for 10° ≤ 2θ ≤ 80°, in order of rising 2θ:
d 7.171, 12.34°, I = 61; d 2.661, 33.69°, I = 100; d 2.390, 37.63°, I = 14; d 2.238, 40.29°, I = 68; d 1.835, 49.67°, I = 19; d 1.654, 55.56°, I = 23

[6]
This entry pairs a crystal structure of Pm2SiTe with its calculated powder diffraction line list. Radiation: λ = 1.5418 Å (Cu Kα). Structure: a PBE-relaxed structure.
Kinematic intensities with the Lorentz-polarization factor, no thermal factor.

Cell: 4.311 6.176 8.875 Å, 90.00 90.00 90.00°
Space group Pmmn (No. 59, origin choice 2)
Unique sites:
Pm  0.250  0.250  0.110 [2 per cell]
Pm  0.250  0.250  0.653 [2 per cell]
Si  0.250  0.750  0.123 [2 per cell]
Te  0.250  0.750  0.619 [2 per cell]

Top 6 peaks for 10° ≤ 2θ ≤ 80°, in order of rising 2θ:
d 3.091, 28.89°, I = 100; d 2.185, 41.32°, I = 49; d 2.155, 41.91°, I = 13; d 1.802, 50.66°, I = 12; d 1.767, 51.72°, I = 14; d 1.382, 67.82°, I = 21